Simulated X-ray diffraction stick pattern of V6Si5 for Cu Kα (weighted mean of Kα1 and Kα2), from DFT lattice parameters and positions (GGA-PBE).

Structural model:
a = 9.1244 Å, b = 9.1244 Å, c = 9.1244 Å
α = 131.61°, β = 58.44°, γ = 149.24°
Positions (direct):
V 0.0602 0.2500 0.8102
V 0.0652 0.2469 0.3121
V 0.1435 0.6136 0.7571
V 0.3565 0.1136 0.4702
V 0.4348 0.7469 0.1817
V 0.4398 0.2500 0.1898
V 0.5602 0.7500 0.8102
V 0.5652 0.2531 0.8183
V 0.6435 0.8864 0.5298
V 0.8565 0.3864 0.2429
V 0.9348 0.7531 0.6879
V 0.9398 0.7500 0.1898
Si 0.0638 0.9098 0.9736
Si 0.2139 0.2978 0.5117
Si 0.2500 0.7500 0.5000
Si 0.2861 0.7978 0.0839
Si 0.4362 0.4098 0.8459
Si 0.5638 0.5902 0.1541
Si 0.7139 0.2022 0.9161
Si 0.7500 0.2500 0.5000
Si 0.7861 0.7022 0.4883
Si 0.9362 0.0902 0.0264

The 10 most intense peaks (5° ≤ 2θ ≤ 70°), sorted by position:
two_theta	I (rel.)
37.16	28
39.95	53
40.60	54
41.48	39
41.69	89
42.33	99
42.81	100
44.60	53
51.08	33
65.67	18

=====

Simulated X-ray diffraction stick pattern of ZrVSi for Cu Kα (weighted mean of Kα1 and Kα2), from DFT lattice parameters and positions (GGA-PBE).

Structural model:
a = 3.6891 Å, b = 3.6891 Å, c = 7.2538 Å
α = 90.00°, β = 90.00°, γ = 90.00°
Positions (direct):
Zr 0.2500 0.2500 0.1404
Zr 0.7500 0.7500 0.8596
V 0.2500 0.7500 0.5000
V 0.7500 0.2500 0.5000
Si 0.2500 0.2500 0.7454
Si 0.7500 0.7500 0.2546

The 10 most intense peaks (5° ≤ 2θ ≤ 70°), sorted by position:
two_theta	I (rel.)
27.12	35
34.38	26
34.68	86
36.61	100
37.18	34
42.70	50
44.82	25
49.41	51
61.77	31
63.43	26

=====

Simulated X-ray diffraction stick pattern of Zr2V3Si for Cu Kα (weighted mean of Kα1 and Kα2), from DFT lattice parameters and positions (GGA-PBE).

Structural model:
a = 5.1297 Å, b = 5.1297 Å, c = 8.6628 Å
α = 90.00°, β = 90.00°, γ = 120.00°
Positions (direct):
Zr 0.3333 0.6667 0.0582
Zr 0.3333 0.6667 0.4418
Zr 0.6667 0.3333 0.5582
Zr 0.6667 0.3333 0.9418
V 0.1741 0.3483 0.7500
V 0.1741 0.8259 0.7500
V 0.3483 0.1741 0.2500
V 0.6517 0.8259 0.7500
V 0.8259 0.1741 0.2500
V 0.8259 0.6517 0.2500
Si 0.0000 0.0000 0.0000
Si 0.0000 0.0000 0.5000

The 10 most intense peaks (5° ≤ 2θ ≤ 70°), sorted by position:
two_theta	I (rel.)
19.99	14
28.79	18
34.98	44
37.13	100
40.62	20
40.89	96
41.99	66
64.16	32
66.76	21
68.71	32

=====

Simulated X-ray diffraction stick pattern of Si2W for Cu Kα (weighted mean of Kα1 and Kα2), from DFT lattice parameters and positions (GGA-PBE).

Structural model:
a = 4.5500 Å, b = 4.5500 Å, c = 4.5500 Å
α = 138.37°, β = 138.37°, γ = 60.33°
Positions (direct):
Si 0.1651 0.1651 0.0000
Si 0.8349 0.8349 0.0000
W 0.5000 0.5000 0.0000

The 10 most intense peaks (5° ≤ 2θ ≤ 70°), sorted by position:
two_theta	I (rel.)
22.60	50
29.87	100
39.41	59
44.48	84
45.91	32
56.96	20
62.07	13
62.26	13
65.64	22
66.03	11

=====

Simulated X-ray diffraction stick pattern of Si2W3 for Cu Kα (weighted mean of Kα1 and Kα2), from DFT lattice parameters and positions (GGA-PBE).

Structural model:
a = 6.6158 Å, b = 6.6158 Å, c = 3.3435 Å
α = 90.00°, β = 90.00°, γ = 90.00°
Positions (direct):
Si 0.1340 0.3660 0.0000
Si 0.3660 0.8660 0.0000
Si 0.6340 0.1340 0.0000
Si 0.8660 0.6340 0.0000
W 0.0000 0.0000 0.0000
W 0.1598 0.6598 0.5000
W 0.3402 0.1598 0.5000
W 0.5000 0.5000 0.0000
W 0.6598 0.8402 0.5000
W 0.8402 0.3402 0.5000

The 10 most intense peaks (5° ≤ 2θ ≤ 70°), sorted by position:
two_theta	I (rel.)
30.21	60
32.93	59
38.28	63
38.49	18
40.72	100
43.24	68
54.92	19
62.67	18
64.40	15
66.12	30

=====

Simulated X-ray diffraction stick pattern of Si2W for Cu Kα (weighted mean of Kα1 and Kα2), from DFT lattice parameters and positions (GGA-PBE).

Structural model:
a = 4.6169 Å, b = 4.6169 Å, c = 6.6532 Å
α = 90.00°, β = 90.00°, γ = 120.00°
Positions (direct):
Si 0.1636 0.3273 0.0000
Si 0.1636 0.8364 0.3333
Si 0.3273 0.1636 0.6667
Si 0.6727 0.8364 0.6667
Si 0.8364 0.1636 0.3333
Si 0.8364 0.6727 0.0000
W 0.0000 0.5000 0.6667
W 0.5000 0.0000 0.0000
W 0.5000 0.5000 0.3333

The 10 most intense peaks (5° ≤ 2θ ≤ 70°), sorted by position:
two_theta	I (rel.)
22.23	17
26.00	100
35.09	47
40.68	28
41.40	72
45.36	26
47.97	47
62.55	20
63.08	17
69.68	16

=====

Simulated X-ray diffraction stick pattern of YSi for Cu Kα (weighted mean of Kα1 and Kα2), from DFT lattice parameters and positions (GGA-PBE).

Structural model:
a = 5.6998 Å, b = 5.6998 Å, c = 3.8425 Å
α = 90.00°, β = 90.00°, γ = 135.80°
Positions (direct):
Y 0.1402 0.8598 0.7500
Y 0.8598 0.1402 0.2500
Si 0.4240 0.5760 0.7500
Si 0.5760 0.4240 0.2500

The 10 most intense peaks (5° ≤ 2θ ≤ 70°), sorted by position:
two_theta	I (rel.)
22.37	18
28.73	43
32.41	100
32.91	48
33.95	28
40.62	39
42.14	24
47.31	17
51.80	16
58.84	17

=====

Simulated X-ray diffraction stick pattern of Y5Si3 for Cu Kα (weighted mean of Kα1 and Kα2), from DFT lattice parameters and positions (GGA-PBE).

Structural model:
a = 8.4594 Å, b = 8.4594 Å, c = 6.3876 Å
α = 90.00°, β = 90.00°, γ = 120.00°
Positions (direct):
Y 0.0000 0.2434 0.2500
Y 0.0000 0.7566 0.7500
Y 0.2434 0.0000 0.2500
Y 0.2434 0.2434 0.7500
Y 0.3333 0.6667 0.0000
Y 0.3333 0.6667 0.5000
Y 0.6667 0.3333 0.0000
Y 0.6667 0.3333 0.5000
Y 0.7566 0.0000 0.7500
Y 0.7566 0.7566 0.2500
Si 0.0000 0.3944 0.7500
Si 0.0000 0.6056 0.2500
Si 0.3944 0.0000 0.7500
Si 0.3944 0.3944 0.2500
Si 0.6056 0.0000 0.2500
Si 0.6056 0.6056 0.7500

The 10 most intense peaks (5° ≤ 2θ ≤ 70°), sorted by position:
two_theta	I (rel.)
25.25	29
30.53	44
32.33	47
35.21	92
35.33	100
36.81	40
51.85	26
54.35	28
57.69	29
58.05	26

=====

Simulated X-ray diffraction stick pattern of Y5Si4 for Cu Kα (weighted mean of Kα1 and Kα2), from DFT lattice parameters and positions (GGA-PBE).

Structural model:
a = 7.4431 Å, b = 14.6271 Å, c = 7.7103 Å
α = 90.00°, β = 90.00°, γ = 90.00°
Positions (direct):
Y 0.0276 0.0985 0.1828
Y 0.0276 0.4015 0.1828
Y 0.1502 0.7500 0.5112
Y 0.1813 0.1228 0.6796
Y 0.1813 0.3772 0.6796
Y 0.3187 0.6228 0.1796
Y 0.3187 0.8772 0.1796
Y 0.3498 0.2500 0.0112
Y 0.4724 0.5985 0.6828
Y 0.4724 0.9015 0.6828
Y 0.5276 0.0985 0.3172
Y 0.5276 0.4015 0.3172
Y 0.6502 0.7500 0.9888
Y 0.6813 0.1228 0.8204
Y 0.6813 0.3772 0.8204
Y 0.8187 0.6228 0.3204
Y 0.8187 0.8772 0.3204
Y 0.8498 0.2500 0.4888
Y 0.9724 0.5985 0.8172
Y 0.9724 0.9015 0.8172
Si 0.0247 0.7500 0.1043
Si 0.1466 0.5403 0.4714
Si 0.1466 0.9597 0.4714
Si 0.2328 0.2500 0.3732
Si 0.2672 0.7500 0.8732
Si 0.3534 0.0403 0.9714
Si 0.3534 0.4597 0.9714
Si 0.4753 0.2500 0.6043
Si 0.5247 0.7500 0.3957
Si 0.6466 0.5403 0.0286
Si 0.6466 0.9597 0.0286
Si 0.7328 0.2500 0.1268
Si 0.7672 0.7500 0.6268
Si 0.8534 0.0403 0.5286
Si 0.8534 0.4597 0.5286
Si 0.9753 0.2500 0.8957

The 10 most intense peaks (5° ≤ 2θ ≤ 70°), sorted by position:
two_theta	I (rel.)
27.30	35
30.21	37
31.94	69
32.42	100
33.78	69
34.04	42
35.94	29
37.53	36
38.10	41
57.45	40

=====

Simulated X-ray diffraction stick pattern of YSi for Cu Kα (weighted mean of Kα1 and Kα2), from DFT lattice parameters and positions (GGA-PBE).

Structural model:
a = 6.9613 Å, b = 6.9613 Å, c = 4.0876 Å
α = 90.00°, β = 90.00°, γ = 120.00°
Positions (direct):
Y 0.0000 0.4313 0.0000
Y 0.4313 0.0000 0.0000
Y 0.5687 0.5687 0.0000
Si 0.0000 0.0000 0.0000
Si 0.3333 0.6667 0.5000
Si 0.6667 0.3333 0.5000

The 10 most intense peaks (5° ≤ 2θ ≤ 70°), sorted by position:
two_theta	I (rel.)
14.69	40
21.74	57
25.59	41
29.64	57
33.82	72
37.06	100
45.58	22
54.22	20
54.91	27
59.75	34

=====

Simulated X-ray diffraction stick pattern of YSi2 for Cu Kα (weighted mean of Kα1 and Kα2), from DFT lattice parameters and positions (GGA-PBE).

Structural model:
a = 8.1263 Å, b = 4.1892 Å, c = 8.1760 Å
α = 90.00°, β = 112.37°, γ = 90.00°
Positions (direct):
Y 0.0000 0.0000 0.0000
Y 0.0277 0.0000 0.5039
Y 0.4657 0.0000 0.8764
Y 0.5068 0.0000 0.4262
Si 0.2487 0.5000 0.2706
Si 0.2740 0.5000 0.9879
Si 0.3200 0.5000 0.6008
Si 0.6572 0.5000 0.2680
Si 0.6658 0.5000 0.7008
Si 0.7216 0.5000 0.9988
Si 0.9599 0.5000 0.2542
Si 0.9844 0.5000 0.7319

The 10 most intense peaks (5° ≤ 2θ ≤ 70°), sorted by position:
two_theta	I (rel.)
23.53	27
23.68	46
26.32	29
30.26	21
30.70	42
31.89	74
32.00	100
34.04	75
37.24	24
43.19	42

=====

Simulated X-ray diffraction stick pattern of YSi2 for Cu Kα (weighted mean of Kα1 and Kα2), from DFT lattice parameters and positions (GGA-PBE).

Structural model:
a = 7.8193 Å, b = 7.8193 Å, c = 7.8193 Å
α = 150.40°, β = 150.40°, γ = 42.36°
Positions (direct):
Y 0.3750 0.6250 0.7500
Y 0.6250 0.3750 0.2500
Si 0.0426 0.7926 0.2500
Si 0.2074 0.9574 0.2500
Si 0.7926 0.0426 0.7500
Si 0.9574 0.2074 0.7500

The 10 most intense peaks (5° ≤ 2θ ≤ 70°), sorted by position:
two_theta	I (rel.)
23.08	15
24.42	16
28.93	43
34.03	100
38.21	49
45.40	33
49.34	23
54.73	14
60.80	24
69.28	17

=====

Simulated X-ray diffraction stick pattern of YSi2 for Cu Kα (weighted mean of Kα1 and Kα2), from DFT lattice parameters and positions (GGA-PBE).

Structural model:
a = 4.0932 Å, b = 4.0932 Å, c = 3.9718 Å
α = 90.00°, β = 90.00°, γ = 120.00°
Positions (direct):
Y 0.0000 0.0000 0.0000
Si 0.3333 0.6667 0.5000
Si 0.6667 0.3333 0.5000

The 10 most intense peaks (5° ≤ 2θ ≤ 70°), sorted by position:
two_theta	I (rel.)
22.38	3
25.12	29
33.90	100
44.26	35
45.68	11
50.14	3
51.57	4
52.84	7
56.89	22
65.49	21